The following is a computed X-ray diffraction stick pattern of TcAg6F12. It was derived from a crystal structure in Alexandria, relaxed with PBE, using copper Kα.
Neutral-atom scattering factors, no anomalous dispersion.

Lattice parameters (Å, degrees): 6.827 6.827 6.827 98.05 98.05 98.05
Positions (direct):
Tc 0.000 0.000 0.000
Ag 0.142 0.319 0.600
Ag 0.319 0.600 0.142
Ag 0.400 0.858 0.681
Ag 0.600 0.142 0.319
Ag 0.681 0.400 0.858
Ag 0.858 0.681 0.400
F 0.023 0.936 0.718
F 0.064 0.282 0.977
F 0.166 0.603 0.408
F 0.282 0.977 0.064
F 0.397 0.592 0.834
F 0.408 0.166 0.603
F 0.592 0.834 0.397
F 0.603 0.408 0.166
F 0.718 0.023 0.936
F 0.834 0.397 0.592
F 0.936 0.718 0.023
F 0.977 0.064 0.282

Principal peaks in the range 10 to 90 degrees two-theta, in order of falling intensity:
27.9°, d 3.198, rel. 1000
32.0°, d 2.800, rel. 418
26.7°, d 3.344, rel. 351
45.0°, d 2.013, rel. 315
46.6°, d 1.948, rel. 286
54.5°, d 1.683, rel. 257